For HoAl3Pt, DFT lattice parameters and positions (GGA-PBE) gives the computed powder X-ray diffraction pattern in this record (Cu Ka).
Neutral-atom scattering factors, no anomalous dispersion.

Cell and atoms:
Cell lengths 8.301, 4.157, 10.967 Å; angles 90.00, 90.00, 90.00 degrees
Element x y z (fractional)
Ho1 0.187 0.250 0.012
Ho2 0.313 0.750 0.512
Ho3 0.687 0.250 0.488
Ho4 0.813 0.750 0.988
Al1 0.063 0.250 0.586
Al2 0.109 0.750 0.802
Al3 0.142 0.750 0.216
Al4 0.358 0.250 0.716
Al5 0.391 0.250 0.302
Al6 0.437 0.750 0.086
Al7 0.563 0.250 0.914
Al8 0.609 0.750 0.698
Al9 0.642 0.750 0.284
Al10 0.858 0.250 0.784
Al11 0.891 0.250 0.198
Al12 0.937 0.750 0.414
Pt1 0.101 0.250 0.356
Pt2 0.399 0.750 0.856
Pt3 0.601 0.250 0.144
Pt4 0.899 0.750 0.644

Top 8 peaks for 5° ≤ 2θ ≤ 70°, in order of rising 2θ:
| Position (°2θ) | d [Å] | Rel. int. |
| --- | --- | --- |
| 22.9 | 3.884 | 71 |
| 26.6 | 3.346 | 36 |
| 29.0 | 3.077 | 23 |
| 30.4 | 2.937 | 59 |
| 34.4 | 2.606 | 100 |
| 40.0 | 2.254 | 33 |
| 43.6 | 2.078 | 37 |
| 60.2 | 1.538 | 25 |

For LiAl2Au2, DFT lattice parameters and positions (GGA-PBE) gives the computed powder X-ray diffraction pattern in this record (Cu Ka).
Neutral-atom scattering factors, no anomalous dispersion.

Cell and atoms:
Cell lengths 4.348, 4.367, 9.183 Å; angles 90.00, 90.00, 90.00 degrees
Element x y z (fractional)
Li1 0.250 0.250 0.179
Li2 0.750 0.750 0.821
Al1 0.250 0.250 0.504
Al2 0.250 0.250 0.824
Al3 0.750 0.750 0.176
Al4 0.750 0.750 0.496
Au1 0.250 0.750 0.005
Au2 0.250 0.750 0.656
Au3 0.750 0.250 0.344
Au4 0.750 0.250 0.995

Top 8 peaks for 5° ≤ 2θ ≤ 70°, in order of rising 2θ:
| Position (°2θ) | d [Å] | Rel. int. |
| --- | --- | --- |
| 9.6 | 9.183 | 16 |
| 22.6 | 3.935 | 48 |
| 28.2 | 3.161 | 42 |
| 29.0 | 3.081 | 58 |
| 29.2 | 3.061 | 28 |
| 41.3 | 2.184 | 21 |
| 41.6 | 2.172 | 100 |
| 68.2 | 1.376 | 16 |

For CaNpS3, DFT lattice parameters and positions (GGA-PBE) gives the computed powder X-ray diffraction pattern in this record (Cu Ka).
Neutral-atom scattering factors, no anomalous dispersion.

Cell and atoms:
Cell lengths 4.304, 4.304, 14.768 Å; angles 90.00, 90.00, 120.00 degrees
Element x y z (fractional)
Ca1 0.333 0.667 0.000
Ca2 0.667 0.333 0.500
Np1 0.000 0.000 0.229
Np2 0.000 0.000 0.729
S1 0.000 0.000 0.420
S2 0.000 0.000 0.920
S3 0.333 0.667 0.280
S4 0.333 0.667 0.625
S5 0.667 0.333 0.125
S6 0.667 0.333 0.780

Top 8 peaks for 5° ≤ 2θ ≤ 70°, in order of rising 2θ:
| Position (°2θ) | d [Å] | Rel. int. |
| --- | --- | --- |
| 12.0 | 7.384 | 91 |
| 23.9 | 3.727 | 65 |
| 24.1 | 3.692 | 31 |
| 26.8 | 3.327 | 100 |
| 34.2 | 2.623 | 64 |
| 42.0 | 2.152 | 47 |
| 44.1 | 2.054 | 48 |
| 49.0 | 1.859 | 28 |

For Ba2Bi2Pb, DFT lattice parameters and positions (GGA-PBE) gives the computed powder X-ray diffraction pattern in this record (Cu Ka).
Neutral-atom scattering factors, no anomalous dispersion.

Cell and atoms:
Cell lengths 6.916, 6.916, 6.916 Å; angles 136.80, 113.94, 82.25 degrees
Element x y z (fractional)
Ba1 0.213 0.213 0.000
Ba2 0.787 0.787 0.000
Bi1 0.210 0.500 0.710
Bi2 0.790 0.500 0.290
Pb1 0.500 0.000 0.500

Top 8 peaks for 5° ≤ 2θ ≤ 70°, in order of rising 2θ:
| Position (°2θ) | d [Å] | Rel. int. |
| --- | --- | --- |
| 17.0 | 5.209 | 36 |
| 27.2 | 3.279 | 100 |
| 29.2 | 3.054 | 22 |
| 30.7 | 2.909 | 98 |
| 34.4 | 2.605 | 28 |
| 35.3 | 2.546 | 34 |
| 39.4 | 2.284 | 30 |
| 53.4 | 1.717 | 35 |

For Er2Ni12P7, DFT lattice parameters and positions (GGA-PBE) gives the computed powder X-ray diffraction pattern in this record (Cu Ka).
Neutral-atom scattering factors, no anomalous dispersion.

Cell and atoms:
Cell lengths 9.030, 9.030, 3.678 Å; angles 90.00, 90.00, 120.00 degrees
Element x y z (fractional)
Er1 0.000 0.000 0.000
Er2 0.333 0.667 0.500
Ni1 0.048 0.765 0.500
Ni2 0.101 0.395 0.000
Ni3 0.235 0.284 0.500
Ni4 0.293 0.899 0.000
Ni5 0.392 0.211 0.000
Ni6 0.545 0.118 0.500
Ni7 0.573 0.455 0.500
Ni8 0.605 0.707 0.000
Ni9 0.716 0.952 0.500
Ni10 0.789 0.181 0.000
Ni11 0.819 0.608 0.000
Ni12 0.882 0.427 0.500
P1 0.075 0.628 0.000
P2 0.261 0.039 0.500
P3 0.372 0.447 0.000
P4 0.553 0.925 0.000
P5 0.667 0.333 0.000
P6 0.778 0.739 0.500
P7 0.961 0.222 0.500

Top 8 peaks for 5° ≤ 2θ ≤ 70°, in order of rising 2θ:
| Position (°2θ) | d [Å] | Rel. int. |
| --- | --- | --- |
| 26.8 | 3.328 | 12 |
| 30.2 | 2.956 | 10 |
| 34.4 | 2.607 | 9 |
| 39.1 | 2.304 | 100 |
| 46.4 | 1.955 | 9 |
| 49.6 | 1.839 | 17 |
| 53.7 | 1.707 | 16 |
| 57.1 | 1.612 | 11 |

For La3Ag2Pt, DFT lattice parameters and positions (GGA-PBE) gives the computed powder X-ray diffraction pattern in this record (Cu Ka).
Neutral-atom scattering factors, no anomalous dispersion.

Cell and atoms:
Cell lengths 8.403, 8.403, 7.624 Å; angles 90.00, 90.00, 143.58 degrees
Element x y z (fractional)
La1 0.000 0.000 0.244
La2 0.000 0.000 0.756
La3 0.324 0.676 0.228
La4 0.324 0.676 0.772
La5 0.676 0.324 0.228
La6 0.676 0.324 0.772
Ag1 0.167 0.833 0.500
Ag2 0.500 0.500 0.000
Ag3 0.500 0.500 0.500
Ag4 0.833 0.167 0.500
Pt1 0.150 0.850 0.000
Pt2 0.850 0.150 0.000

Top 8 peaks for 5° ≤ 2θ ≤ 70°, in order of rising 2θ:
| Position (°2θ) | d [Å] | Rel. int. |
| --- | --- | --- |
| 33.6 | 2.669 | 100 |
| 33.7 | 2.661 | 23 |
| 34.1 | 2.626 | 25 |
| 47.7 | 1.906 | 9 |
| 48.7 | 1.869 | 16 |
| 60.0 | 1.542 | 9 |
| 60.2 | 1.538 | 14 |
| 60.8 | 1.524 | 18 |

For K2NaSe, DFT lattice parameters and positions (GGA-PBE) gives the computed powder X-ray diffraction pattern in this record (Cu Ka).
Neutral-atom scattering factors, no anomalous dispersion.

Cell and atoms:
Cell lengths 11.932, 11.932, 11.932 Å; angles 23.89, 23.89, 23.89 degrees
Element x y z (fractional)
K1 0.127 0.127 0.127
K2 0.873 0.873 0.873
Na1 0.000 0.000 0.000
Se1 0.500 0.500 0.500

Top 8 peaks for 5° ≤ 2θ ≤ 70°, in order of rising 2θ:
| Position (°2θ) | d [Å] | Rel. int. |
| --- | --- | --- |
| 7.6 | 11.586 | 100 |
| 15.3 | 5.793 | 19 |
| 21.4 | 4.153 | 23 |
| 24.4 | 3.643 | 19 |
| 29.3 | 3.048 | 35 |
| 36.4 | 2.469 | 19 |
| 37.2 | 2.415 | 13 |
| 39.7 | 2.270 | 15 |

For Rb4Th3CoS8, DFT lattice parameters and positions (GGA-PBE) gives the computed powder X-ray diffraction pattern in this record (Cu Ka).
Neutral-atom scattering factors, no anomalous dispersion.

Cell and atoms:
Cell lengths 8.213, 8.213, 9.069 Å; angles 116.98, 116.98, 59.85 degrees
Element x y z (fractional)
Rb1 0.000 0.000 0.000
Rb2 0.000 0.500 0.000
Rb3 0.500 0.000 0.000
Rb4 0.500 0.500 0.000
Th1 0.000 0.000 0.500
Th2 0.000 0.500 0.500
Th3 0.500 0.000 0.500
Co1 0.500 0.500 0.500
S1 0.234 0.234 0.704
S2 0.237 0.726 0.691
S3 0.271 0.271 0.307
S4 0.274 0.763 0.309
S5 0.726 0.237 0.691
S6 0.729 0.729 0.693
S7 0.763 0.274 0.309
S8 0.766 0.766 0.296

Top 8 peaks for 5° ≤ 2θ ≤ 70°, in order of rising 2θ:
| Position (°2θ) | d [Å] | Rel. int. |
| --- | --- | --- |
| 11.5 | 7.727 | 38 |
| 23.0 | 3.864 | 26 |
| 26.2 | 3.397 | 50 |
| 29.5 | 3.029 | 100 |
| 40.2 | 2.246 | 38 |
| 44.1 | 2.053 | 23 |
| 50.3 | 1.813 | 16 |
| 66.5 | 1.406 | 14 |

For Sm6Rh3Cl2, DFT lattice parameters and positions (GGA-PBE) gives the computed powder X-ray diffraction pattern in this record (Cu Ka).
Neutral-atom scattering factors, no anomalous dispersion.

Cell and atoms:
Cell lengths 7.038, 7.038, 7.540 Å; angles 98.99, 98.99, 119.98 degrees
Element x y z (fractional)
Sm1 0.094 0.423 0.785
Sm2 0.232 0.232 0.210
Sm3 0.423 0.094 0.785
Sm4 0.577 0.906 0.215
Sm5 0.768 0.768 0.790
Sm6 0.906 0.577 0.215
Rh1 0.171 0.829 0.000
Rh2 0.500 0.500 0.000
Rh3 0.829 0.171 0.000
Cl1 0.334 0.666 0.500
Cl2 0.666 0.334 0.500

Top 8 peaks for 5° ≤ 2θ ≤ 70°, in order of rising 2θ:
| Position (°2θ) | d [Å] | Rel. int. |
| --- | --- | --- |
| 12.4 | 7.162 | 35 |
| 26.7 | 3.344 | 22 |
| 30.4 | 2.944 | 100 |
| 38.9 | 2.313 | 16 |
| 42.3 | 2.135 | 33 |
| 44.6 | 2.032 | 37 |
| 53.7 | 1.708 | 11 |
| 54.9 | 1.672 | 18 |

For LuCuPbS3, DFT lattice parameters and positions (GGA-PBE) gives the computed powder X-ray diffraction pattern in this record (Cu Ka).
Neutral-atom scattering factors, no anomalous dispersion.

Cell and atoms:
Cell lengths 6.812, 6.812, 10.060 Å; angles 90.00, 90.00, 146.88 degrees
Element x y z (fractional)
Lu1 0.000 0.000 0.000
Lu2 0.000 0.000 0.500
Cu1 0.469 0.531 0.750
Cu2 0.531 0.469 0.250
Pb1 0.247 0.753 0.251
Pb2 0.753 0.247 0.751
S1 0.075 0.925 0.750
S2 0.365 0.635 0.563
S3 0.365 0.635 0.937
S4 0.635 0.365 0.063
S5 0.635 0.365 0.437
S6 0.925 0.075 0.250

Top 8 peaks for 5° ≤ 2θ ≤ 70°, in order of rising 2θ:
| Position (°2θ) | d [Å] | Rel. int. |
| --- | --- | --- |
| 22.3 | 3.985 | 99 |
| 25.5 | 3.491 | 42 |
| 27.3 | 3.265 | 45 |
| 29.9 | 2.992 | 39 |
| 32.1 | 2.785 | 83 |
| 35.7 | 2.513 | 100 |
| 45.5 | 1.992 | 54 |
| 67.3 | 1.391 | 40 |

For LiAc2CdRh, DFT lattice parameters and positions (GGA-PBE) gives the computed powder X-ray diffraction pattern in this record (Cu Ka).
Neutral-atom scattering factors, no anomalous dispersion.

Cell and atoms:
Cell lengths 8.053, 4.429, 8.496 Å; angles 90.00, 107.97, 90.00 degrees
Element x y z (fractional)
Li1 0.067 0.250 0.164
Li2 0.933 0.750 0.836
Ac1 0.227 0.750 0.540
Ac2 0.392 0.750 0.162
Ac3 0.608 0.250 0.838
Ac4 0.773 0.250 0.460
Cd1 0.153 0.250 0.840
Cd2 0.847 0.750 0.160
Rh1 0.383 0.250 0.400
Rh2 0.617 0.750 0.600

Top 8 peaks for 5° ≤ 2θ ≤ 70°, in order of rising 2θ:
| Position (°2θ) | d [Å] | Rel. int. |
| --- | --- | --- |
| 11.6 | 7.660 | 38 |
| 23.2 | 3.833 | 39 |
| 28.7 | 3.110 | 66 |
| 29.5 | 3.024 | 38 |
| 29.9 | 2.985 | 100 |
| 30.2 | 2.955 | 52 |
| 33.3 | 2.694 | 33 |
| 40.7 | 2.215 | 41 |

For TiNi4N4, DFT lattice parameters and positions (GGA-PBE) gives the computed powder X-ray diffraction pattern in this record (Cu Ka).
Neutral-atom scattering factors, no anomalous dispersion.

Cell and atoms:
Cell lengths 5.410, 5.507, 7.525 Å; angles 68.80, 77.36, 62.58 degrees
Element x y z (fractional)
Ti1 0.234 0.078 0.223
Ti2 0.766 0.922 0.777
Ni1 0.179 0.319 0.810
Ni2 0.249 0.527 0.452
Ni3 0.281 0.922 0.627
Ni4 0.299 0.625 0.073
Ni5 0.701 0.375 0.927
Ni6 0.719 0.078 0.373
Ni7 0.751 0.473 0.548
Ni8 0.821 0.681 0.190
N1 0.060 0.825 0.239
N2 0.093 0.700 0.643
N3 0.372 0.317 0.986
N4 0.470 0.157 0.599
N5 0.530 0.843 0.401
N6 0.628 0.683 0.014
N7 0.907 0.300 0.357
N8 0.940 0.175 0.761

Top 8 peaks for 5° ≤ 2θ ≤ 70°, in order of rising 2θ:
| Position (°2θ) | d [Å] | Rel. int. |
| --- | --- | --- |
| 30.7 | 2.916 | 42 |
| 36.4 | 2.465 | 70 |
| 36.8 | 2.443 | 82 |
| 36.9 | 2.433 | 71 |
| 37.5 | 2.396 | 100 |
| 38.0 | 2.370 | 36 |
| 38.6 | 2.331 | 89 |
| 46.9 | 1.937 | 69 |